Record 1
For PmCu4Pd2, a structure optimized by DFT (GGA-PBE) gives the computed PXRD pattern in this record (Cu Ka).
Peak positions follow from Bragg's law for the DFT cell and can differ from measured ones.

Largest 10 diffraction maxima, low angle first, 5 to 70 degrees two-theta:
d 3.628, I 100; d 2.786, I 92; d 2.400, I 80; d 1.887, I 54; d 1.865, I 23; d 1.814, I 37; d 1.753, I 37; d 1.623, I 16; d 1.581, I 16; d 1.346, I 17

Crystal structure
abc: 7.2562 7.2562 5.4311
angles: 90.00 90.00 90.00
Positions (direct):
Pm: 0.0000 0.0000 0.0000
Pm: 0.5000 0.5000 0.5000
Cu: 0.0000 0.2219 0.5000
Cu: 0.0000 0.7781 0.5000
Cu: 0.2219 0.0000 0.5000
Cu: 0.2781 0.5000 0.0000
Cu: 0.5000 0.2781 0.0000
Cu: 0.5000 0.7219 0.0000
Cu: 0.7219 0.5000 0.0000
Cu: 0.7781 0.0000 0.5000
Pd: 0.0000 0.5000 0.2500
Pd: 0.0000 0.5000 0.7500
Pd: 0.5000 0.0000 0.2500
Pd: 0.5000 0.0000 0.7500

=====

Record 2
For Ag5Se3, a structure optimized by DFT (GGA-PBE) gives the computed PXRD pattern in this record (Cu Ka).
Peak positions follow from Bragg's law for the DFT cell and can differ from measured ones.

Largest 10 diffraction maxima, low angle first, 5 to 70 degrees two-theta:
d 3.194, I 46; d 3.177, I 47; d 3.064, I 61; d 3.006, I 77; d 2.687, I 50; d 2.484, I 100; d 2.379, I 63; d 2.294, I 89; d 2.248, I 46; d 2.048, I 59

Crystal structure
abc: 6.9906 7.0366 8.7058
angles: 105.07 90.67 119.31
Positions (direct):
Ag: 0.0493 0.1638 0.2999
Ag: 0.2153 0.3201 0.6414
Ag: 0.2232 0.6677 0.4804
Ag: 0.2868 0.5552 0.1338
Ag: 0.3342 0.9859 0.1042
Ag: 0.6658 0.0141 0.8958
Ag: 0.7132 0.4448 0.8662
Ag: 0.7768 0.3323 0.5196
Ag: 0.7847 0.6799 0.3586
Ag: 0.9507 0.8362 0.7001
Se: 0.1173 0.6262 0.8035
Se: 0.3102 0.2186 0.9108
Se: 0.3294 0.0764 0.4165
Se: 0.6706 0.9236 0.5835
Se: 0.6898 0.7814 0.0892
Se: 0.8827 0.3738 0.1965

=====

Record 3
For TaCu2W, a structure optimized by DFT (GGA-PBE) gives the computed PXRD pattern in this record (Cu Ka).
Peak positions follow from Bragg's law for the DFT cell and can differ from measured ones.

Largest 10 diffraction maxima, low angle first, 5 to 70 degrees two-theta:
d 8.150, I 33; d 2.717, I 12; d 2.536, I 22; d 2.232, I 100; d 2.082, I 21; d 2.037, I 16; d 1.738, I 12; d 1.653, I 6; d 1.456, I 11; d 1.391, I 9

Crystal structure
abc: 3.4757 4.1650 8.1496
angles: 90.00 90.00 90.00
Positions (direct):
Ta: 0.0000 0.0000 0.0000
Ta: 0.5000 0.5000 0.0000
Cu: 0.0000 0.0000 0.4714
Cu: 0.0000 0.5000 0.2524
Cu: 0.5000 0.0000 0.2524
Cu: 0.5000 0.5000 0.4714
W: 0.0000 0.5000 0.7148
W: 0.5000 0.0000 0.7148

=====

Record 4
For PrTm2Sc2, a structure optimized by DFT (GGA-PBE) gives the computed PXRD pattern in this record (Cu Ka).
Peak positions follow from Bragg's law for the DFT cell and can differ from measured ones.

Largest 10 diffraction maxima, low angle first, 5 to 70 degrees two-theta:
d 3.823, I 62; d 3.373, I 37; d 3.109, I 23; d 2.768, I 69; d 2.732, I 47; d 2.529, I 100; d 2.140, I 27; d 2.123, I 22; d 1.725, I 30; d 1.458, I 26

Crystal structure
abc: 9.1258 9.1258 9.1258
angles: 145.16 136.62 56.80
Positions (direct):
Pr: 0.3743 0.1243 0.2500
Pr: 0.6257 0.8757 0.7500
Tm: 0.1259 0.8759 0.2500
Tm: 0.2507 0.5007 0.7500
Tm: 0.7493 0.4993 0.2500
Tm: 0.8741 0.1241 0.7500
Sc: 0.1853 0.6918 0.4935
Sc: 0.3016 0.3082 0.9935
Sc: 0.6984 0.6918 0.0065
Sc: 0.8147 0.3082 0.5065

=====

Record 5
For PuHg2Sb2, a structure optimized by DFT (GGA-PBE) gives the computed PXRD pattern in this record (Cu Ka).
Peak positions follow from Bragg's law for the DFT cell and can differ from measured ones.

Largest 10 diffraction maxima, low angle first, 5 to 70 degrees two-theta:
d 2.686, I 100; d 2.599, I 22; d 2.233, I 15; d 2.205, I 15; d 1.694, I 12; d 1.681, I 12; d 1.569, I 10; d 1.517, I 16; d 1.361, I 12; d 1.349, I 12

Crystal structure
abc: 13.1836 13.1836 4.4104
angles: 90.00 90.00 160.50
Positions (direct):
Pu: 0.1541 0.8459 0.7500
Pu: 0.8459 0.1541 0.2500
Hg: 0.0463 0.9537 0.2500
Hg: 0.4514 0.5486 0.2500
Hg: 0.5486 0.4514 0.7500
Hg: 0.9537 0.0463 0.7500
Sb: 0.2502 0.7498 0.2500
Sb: 0.3583 0.6417 0.7500
Sb: 0.6417 0.3583 0.2500
Sb: 0.7498 0.2502 0.7500

=====

Record 6
For PmSmCl6, a structure optimized by DFT (GGA-PBE) gives the computed PXRD pattern in this record (Cu Ka).
Peak positions follow from Bragg's law for the DFT cell and can differ from measured ones.

Largest 10 diffraction maxima, low angle first, 5 to 70 degrees two-theta:
d 5.360, I 61; d 4.320, I 100; d 3.433, I 16; d 3.417, I 19; d 3.006, I 29; d 2.680, I 29; d 2.321, I 69; d 2.109, I 30; d 1.973, I 38; d 1.503, I 15

Crystal structure
abc: 6.8334 6.8334 12.6424
angles: 90.00 90.00 120.00
Positions (direct):
Pm: 0.3333 0.6667 0.2500
Pm: 0.6667 0.3333 0.7500
Sm: 0.0000 0.0000 0.0000
Sm: 0.0000 0.0000 0.5000
Cl: 0.0154 0.3333 0.1240
Cl: 0.0154 0.6821 0.3760
Cl: 0.3179 0.3333 0.3760
Cl: 0.3179 0.9846 0.1240
Cl: 0.3333 0.0154 0.6240
Cl: 0.3333 0.3179 0.8760
Cl: 0.6667 0.6821 0.1240
Cl: 0.6667 0.9846 0.3760
Cl: 0.6821 0.0154 0.8760
Cl: 0.6821 0.6667 0.6240
Cl: 0.9846 0.3179 0.6240
Cl: 0.9846 0.6667 0.8760

=====

Number 5 is which compound?
PuHg2Sb2